KPdS2O8: calculated X-ray powder pattern (Cu Kα (λ = 1.5418 Å)), based on a PBE-relaxed structure.
No peak broadening, texture or thermal motion is included.

Top 12 peaks for 10° ≤ 2θ ≤ 90°, low angle first:
two_theta	Rel. int.
11.15	65.9
21.75	33.4
24.50	77.5
31.43	100.0
38.14	37.1
40.63	12.5
44.69	22.6
50.22	23.5
51.19	16.8
61.06	28.9
64.77	21.6
68.93	14.0

Cell and atoms:
a = 4.719 Å, b = 4.719 Å, c = 7.934 Å
α = 90.00°, β = 90.00°, γ = 120.00°
Sites, in units of the cell vectors:
K1 0.000 0.000 0.000
Pd1 0.000 0.000 0.500
S1 0.333 0.667 0.275
S2 0.667 0.333 0.725
O1 0.033 0.667 0.337
O2 0.333 0.366 0.337
O3 0.333 0.667 0.091
O4 0.366 0.033 0.663
O5 0.634 0.967 0.337
O6 0.667 0.333 0.909
O7 0.667 0.634 0.663
O8 0.967 0.333 0.663

Cs2TcS3: calculated X-ray powder pattern (Cu Kα (λ = 1.5418 Å)), based on a PBE-relaxed structure.
No peak broadening, texture or thermal motion is included.

Top 12 peaks for 10° ≤ 2θ ≤ 90°, low angle first:
two_theta	Rel. int.
20.66	48.2
23.96	98.5
24.81	80.5
26.41	100.0
33.04	22.9
34.47	19.6
36.55	52.7
41.63	22.1
43.18	20.6
49.07	19.5
50.90	21.5
58.23	20.1

Cell and atoms:
a = 7.901 Å, b = 7.901 Å, c = 10.208 Å
α = 121.44°, β = 121.44°, γ = 54.03°
Sites, in units of the cell vectors:
Cs1 0.083 0.083 0.363
Cs2 0.301 0.301 0.190
Cs3 0.699 0.699 0.810
Cs4 0.917 0.917 0.637
Tc1 0.397 0.397 0.842
Tc2 0.603 0.603 0.158
S1 0.216 0.216 0.780
S2 0.252 0.748 0.000
S3 0.390 0.390 0.618
S4 0.610 0.610 0.382
S5 0.748 0.252 0.000
S6 0.784 0.784 0.220

Sr2Al4AgIr: calculated X-ray powder pattern (Cu Kα (λ = 1.5418 Å)), based on a PBE-relaxed structure.
No peak broadening, texture or thermal motion is included.

Top 12 peaks for 10° ≤ 2θ ≤ 90°, low angle first:
two_theta	Rel. int.
15.49	46.2
22.30	31.5
23.69	61.9
25.29	57.4
32.76	48.5
33.52	52.7
33.75	100.0
39.61	20.7
42.51	28.7
42.65	35.7
48.48	54.0
55.19	25.0

Cell and atoms:
a = 7.510 Å, b = 6.103 Å, c = 6.103 Å
α = 40.79°, β = 90.00°, γ = 90.00°
Sites, in units of the cell vectors:
Sr1 0.000 0.000 0.000
Sr2 0.500 0.098 0.098
Al1 0.178 0.726 0.726
Al2 0.296 0.374 0.374
Al3 0.704 0.374 0.374
Al4 0.822 0.726 0.726
Ag1 0.500 0.824 0.824
Ir1 0.000 0.269 0.269

La12Fe2I17: calculated X-ray powder pattern (Cu Kα (λ = 1.5418 Å)), based on a PBE-relaxed structure.
No peak broadening, texture or thermal motion is included.

Top 12 peaks for 10° ≤ 2θ ≤ 90°, low angle first:
two_theta	Rel. int.
10.10	16.9
27.36	100.0
27.64	98.1
28.41	75.6
39.27	97.8
39.71	27.3
40.43	56.3
48.35	16.1
49.44	15.1
49.97	15.7
56.48	17.2
64.48	15.2

Cell and atoms:
a = 9.917 Å, b = 11.941 Å, c = 12.134 Å
α = 74.44°, β = 75.51°, γ = 66.93°
Sites, in units of the cell vectors:
La1 0.047 0.022 0.171
La2 0.061 0.164 0.501
La3 0.079 0.260 0.772
La4 0.214 0.501 0.409
La5 0.329 0.684 0.076
La6 0.344 0.785 0.346
La7 0.656 0.215 0.654
La8 0.671 0.316 0.924
La9 0.786 0.499 0.591
La10 0.921 0.740 0.228
La11 0.939 0.836 0.499
La12 0.953 0.978 0.829
Fe1 0.134 0.765 0.285
Fe2 0.866 0.235 0.715
I1 0.040 0.558 0.672
I2 0.069 0.675 0.967
I3 0.199 0.860 0.609
I4 0.250 0.972 0.914
I5 0.289 0.084 0.251
I6 0.354 0.196 0.549
I7 0.386 0.288 0.869
I8 0.447 0.391 0.182
I9 0.500 0.500 0.500
I10 0.553 0.609 0.818
I11 0.614 0.712 0.131
I12 0.646 0.804 0.451
I13 0.711 0.916 0.749
I14 0.750 0.028 0.086
I15 0.801 0.140 0.391
I16 0.931 0.325 0.033
I17 0.960 0.442 0.328

Ta8Al7: calculated X-ray powder pattern (Cu Kα (λ = 1.5418 Å)), based on a PBE-relaxed structure.
No peak broadening, texture or thermal motion is included.

Top 12 peaks for 10° ≤ 2θ ≤ 90°, low angle first:
two_theta	Rel. int.
12.73	61.0
20.19	84.3
32.09	40.1
36.24	37.8
37.71	100.0
38.55	63.1
38.84	67.1
39.67	70.5
41.50	60.1
61.65	31.9
65.58	31.7
83.35	23.9

Cell and atoms:
a = 9.836 Å, b = 9.836 Å, c = 5.307 Å
α = 90.00°, β = 90.00°, γ = 90.00°
Sites, in units of the cell vectors:
Ta1 0.038 0.369 0.000
Ta2 0.131 0.538 0.500
Ta3 0.180 0.820 0.251
Ta4 0.180 0.820 0.749
Ta5 0.320 0.320 0.249
Ta6 0.320 0.320 0.751
Ta7 0.369 0.038 0.000
Ta8 0.462 0.869 0.500
Ta9 0.538 0.131 0.500
Ta10 0.631 0.962 0.000
Ta11 0.680 0.680 0.249
Ta12 0.680 0.680 0.751
Ta13 0.820 0.180 0.251
Ta14 0.820 0.180 0.749
Ta15 0.869 0.462 0.500
Ta16 0.962 0.631 0.000
Al1 0.000 0.000 0.500
Al2 0.067 0.267 0.500
Al3 0.098 0.098 0.000
Al4 0.233 0.567 0.000
Al5 0.267 0.067 0.500
Al6 0.402 0.598 0.500
Al7 0.433 0.767 0.000
Al8 0.500 0.500 0.000
Al9 0.567 0.233 0.000
Al10 0.598 0.402 0.500
Al11 0.733 0.933 0.500
Al12 0.767 0.433 0.000
Al13 0.902 0.902 0.000
Al14 0.933 0.733 0.500

Co17Bi: calculated X-ray powder pattern (Cu Kα (λ = 1.5418 Å)), based on a PBE-relaxed structure.
No peak broadening, texture or thermal motion is included.

Top 12 peaks for 10° ≤ 2θ ≤ 90°, low angle first:
two_theta	Rel. int.
11.25	22.9
42.32	12.5
43.14	23.8
43.84	30.5
44.72	100.0
45.79	26.3
46.18	19.3
49.96	15.4
51.63	27.2
51.70	13.3
53.45	14.6
77.21	29.1

Cell and atoms:
a = 4.281 Å, b = 4.943 Å, c = 31.456 Å
α = 90.00°, β = 90.12°, γ = 90.00°
Sites, in units of the cell vectors:
Co1 0.000 0.000 0.000
Co2 0.000 0.500 0.000
Co3 0.001 0.003 0.193
Co4 0.001 0.497 0.193
Co5 0.165 0.250 0.871
Co6 0.166 0.250 0.064
Co7 0.166 0.750 0.255
Co8 0.167 0.750 0.064
Co9 0.171 0.750 0.872
Co10 0.333 0.000 0.936
Co11 0.333 0.001 0.128
Co12 0.333 0.001 0.745
Co13 0.333 0.499 0.128
Co14 0.333 0.499 0.745
Co15 0.333 0.500 0.936
Co16 0.498 0.750 0.192
Co17 0.499 0.250 0.193
Co18 0.500 0.250 0.000
Co19 0.500 0.750 0.000
Co20 0.501 0.750 0.807
Co21 0.502 0.250 0.808
Co22 0.667 0.000 0.064
Co23 0.667 0.500 0.064
Co24 0.667 0.501 0.255
Co25 0.667 0.501 0.872
Co26 0.667 0.999 0.255
Co27 0.667 0.999 0.872
Co28 0.829 0.250 0.128
Co29 0.833 0.250 0.936
Co30 0.834 0.250 0.745
Co31 0.834 0.750 0.936
Co32 0.835 0.750 0.129
Co33 0.999 0.503 0.807
Co34 0.999 0.997 0.807
Bi1 0.168 0.250 0.294
Bi2 0.832 0.750 0.706

LiTcAgSe3: calculated X-ray powder pattern (Cu Kα (λ = 1.5418 Å)), based on a PBE-relaxed structure.
No peak broadening, texture or thermal motion is included.

Top 12 peaks for 10° ≤ 2θ ≤ 90°, low angle first:
two_theta	Rel. int.
13.56	100.0
26.69	24.5
31.87	46.4
33.10	62.0
35.32	61.8
36.56	65.1
41.78	23.1
45.32	42.4
48.30	25.8
49.63	24.2
62.38	22.6
69.45	24.6

Cell and atoms:
a = 6.784 Å, b = 6.784 Å, c = 10.166 Å
α = 90.00°, β = 90.00°, γ = 148.58°
Sites, in units of the cell vectors:
Li1 0.237 0.763 0.750
Li2 0.763 0.237 0.250
Tc1 0.500 0.500 0.000
Tc2 0.500 0.500 0.500
Ag1 0.077 0.923 0.250
Ag2 0.923 0.077 0.750
Se1 0.139 0.861 0.016
Se2 0.139 0.861 0.484
Se3 0.423 0.577 0.250
Se4 0.577 0.423 0.750
Se5 0.861 0.139 0.516
Se6 0.861 0.139 0.984

Lu2Bi3W4C3: calculated X-ray powder pattern (Cu Kα (λ = 1.5418 Å)), based on a PBE-relaxed structure.
No peak broadening, texture or thermal motion is included.

Top 12 peaks for 10° ≤ 2θ ≤ 90°, low angle first:
two_theta	Rel. int.
29.91	14.8
30.72	12.2
30.92	51.2
33.90	87.1
35.33	100.0
37.26	35.8
38.40	67.3
45.57	12.7
53.73	34.1
55.62	15.4
64.31	16.6
64.73	11.8

Cell and atoms:
a = 5.840 Å, b = 5.840 Å, c = 14.518 Å
α = 93.62°, β = 93.62°, γ = 61.54°
Sites, in units of the cell vectors:
Lu1 0.013 0.857 0.597
Lu2 0.143 0.987 0.903
Lu3 0.857 0.013 0.097
Lu4 0.987 0.143 0.403
Bi1 0.048 0.304 0.729
Bi2 0.304 0.048 0.229
Bi3 0.428 0.572 0.750
Bi4 0.572 0.428 0.250
Bi5 0.696 0.952 0.771
Bi6 0.952 0.696 0.271
W1 0.185 0.323 0.059
W2 0.314 0.516 0.434
W3 0.323 0.185 0.559
W4 0.484 0.686 0.066
W5 0.516 0.314 0.934
W6 0.677 0.815 0.441
W7 0.686 0.484 0.566
W8 0.815 0.677 0.941
C1 0.000 0.500 0.500
C2 0.170 0.654 0.997
C3 0.346 0.830 0.503
C4 0.500 0.000 0.000
C5 0.654 0.170 0.497
C6 0.830 0.346 0.003

Gd2TlCoCu: calculated X-ray powder pattern (Cu Kα (λ = 1.5418 Å)), based on a PBE-relaxed structure.
No peak broadening, texture or thermal motion is included.

Top 12 peaks for 10° ≤ 2θ ≤ 90°, low angle first:
two_theta	Rel. int.
28.83	50.9
33.33	100.0
34.84	67.9
37.63	13.6
38.41	33.7
44.57	24.1
49.25	18.0
56.07	18.4
57.79	31.8
58.07	14.9
64.13	14.6
68.58	13.1

Cell and atoms:
a = 3.700 Å, b = 7.454 Å, c = 7.454 Å
α = 31.65°, β = 90.00°, γ = 90.00°
Sites, in units of the cell vectors:
Gd1 0.000 0.000 0.000
Gd2 0.000 0.278 0.278
Tl1 0.500 0.634 0.634
Co1 0.500 0.432 0.432
Cu1 0.500 0.839 0.839

TaNb6Sn: calculated X-ray powder pattern (Cu Kα (λ = 1.5418 Å)), based on a PBE-relaxed structure.
No peak broadening, texture or thermal motion is included.

Top 12 peaks for 10° ≤ 2θ ≤ 90°, low angle first:
two_theta	Rel. int.
16.70	4.4
23.71	9.9
33.78	44.9
37.91	80.8
41.68	100.0
60.42	3.0
63.16	17.0
65.84	51.9
71.04	15.9
81.02	14.5
83.46	15.4
85.89	12.8

Cell and atoms:
a = 5.307 Å, b = 5.307 Å, c = 5.307 Å
α = 90.00°, β = 90.00°, γ = 90.00°
Sites, in units of the cell vectors:
Ta1 0.000 0.000 0.000
Nb1 0.000 0.243 0.500
Nb2 0.000 0.757 0.500
Nb3 0.243 0.500 0.000
Nb4 0.500 0.000 0.243
Nb5 0.500 0.000 0.757
Nb6 0.757 0.500 0.000
Sn1 0.500 0.500 0.500

TaReB: calculated X-ray powder pattern (Cu Kα (λ = 1.5418 Å)), based on a PBE-relaxed structure.
No peak broadening, texture or thermal motion is included.

Top 12 peaks for 10° ≤ 2θ ≤ 90°, low angle first:
two_theta	Rel. int.
27.42	34.6
33.79	55.7
36.79	30.1
38.43	57.8
39.78	100.0
40.09	44.9
41.91	64.5
44.06	49.9
46.12	26.1
58.44	24.2
73.34	41.5
75.99	20.3

Cell and atoms:
a = 6.408 Å, b = 3.158 Å, c = 7.550 Å
α = 90.00°, β = 90.00°, γ = 90.00°
Sites, in units of the cell vectors:
Ta1 0.017 0.250 0.174
Ta2 0.483 0.750 0.674
Ta3 0.517 0.250 0.326
Ta4 0.983 0.750 0.826
Re1 0.156 0.250 0.559
Re2 0.344 0.750 0.059
Re3 0.656 0.250 0.941
Re4 0.844 0.750 0.441
B1 0.226 0.750 0.351
B2 0.274 0.250 0.851
B3 0.726 0.750 0.149
B4 0.774 0.250 0.649